Simulated PXRD pattern
Compound: TaNi3Pd
Radiation: λ = 1.5418 Å (Cu Kα)
Structure: DFT lattice parameters and positions (GGA-PBE)
Kinematic intensities with the Lorentz-polarization factor, no thermal factor.

Lattice parameters (Å, degrees): 7.560 6.843 5.301 90.00 90.00 90.00
Space group Ama2 (No. 40)
Unique sites:
Ta 0.000 0.000 0.000 x4
Ni 0.085 0.142 0.568 x8
Ni 0.250 0.409 0.763 x4
Pd 0.250 0.300 0.195 x4

The 8 most intense peaks (10 to 80 degrees two-theta), sorted by position:
2theta	I_rel
31.9	76
35.4	55
41.6	93
41.8	37
43.2	100
44.7	35
44.9	48
49.8	51